For BaRu3O12, DFT lattice parameters and positions (GGA-PBE) gives the simulated powder diffractogram in this record (CuKα).

Principal peaks in the range 10 to 80 degrees two-theta, most intense first:
21.03°, d 4.225, I = 100.0; 12.44°, d 7.115, I = 46.3; 25.99°, d 3.428, I = 43.9; 17.46°, d 5.079, I = 31.5; 33.41°, d 2.682, I = 24.5; 37.90°, d 2.374, I = 21.6; 32.73°, d 2.736, I = 20.9; 16.02°, d 5.532, I = 15.1

Atomic structure:
```
data_BaRu3O12
_chemical_formula_sum 'Ba6 Ru18 O72'
_cell_length_a 9.2907
_cell_length_b 9.2907
_cell_length_c 30.4749
_cell_angle_alpha 90.00
_cell_angle_beta 90.00
_cell_angle_gamma 120.00
_space_group_name_H-M_alt 'R 3 c'
_space_group_IT_number 161
_space_group_name_Hall 'R 3 -2"c'
loop_
_atom_site_label
_atom_site_type_symbol
_atom_site_fract_x
_atom_site_fract_y
_atom_site_fract_z
Ba1 Ba 0.0000 0.0000 0.0000
Ru1 Ru 0.0212 0.3451 0.0600
O1 O 0.1311 0.3513 0.0128
O2 O 0.1590 0.4360 0.1038
O3 O 0.2004 0.4233 0.7362
O4 O 0.2008 0.4258 0.3839
```